(1)
Diffraction record for SnH6C4S2N2. The XRD peak list is computed, not measured: it uses a cell relaxed with PBE and Cu Ka.
No peak broadening, texture or thermal motion is included.

The 10 most intense peaks (2θ from 15° to 90°), sorted by position:
2θ = 15.42°, I 23
2θ = 20.49°, I 83
2θ = 20.62°, I 100
2θ = 23.80°, I 85
2θ = 31.61°, I 56
2θ = 33.10°, I 27
2θ = 35.97°, I 25
2θ = 37.73°, I 28
2θ = 41.67°, I 25
2θ = 48.56°, I 22

```
data_SnH6C4S2N2
_cell_length_a 8.668
_cell_length_b 9.843
_cell_length_c 5.747
_cell_angle_alpha 90.00
_cell_angle_beta 90.00
_cell_angle_gamma 90.00
_space_group_name_H-M_alt 'P 1'
_space_group_IT_number 1
loop_
_space_group_symop_operation_xyz
'x,y,z'
loop_
_atom_site_label
_atom_site_type_symbol
_atom_site_fract_x
_atom_site_fract_y
_atom_site_fract_z
Sn1 Sn 0.250 0.250 0.047
Sn2 Sn 0.750 0.750 0.953
H1 H 0.003 0.250 0.335
H2 H 0.039 0.658 0.929
H3 H 0.039 0.842 0.929
H4 H 0.461 0.658 0.929
H5 H 0.461 0.842 0.929
H6 H 0.497 0.250 0.335
H7 H 0.503 0.750 0.665
H8 H 0.539 0.158 0.071
H9 H 0.539 0.342 0.071
H10 H 0.961 0.158 0.071
H11 H 0.961 0.342 0.071
H12 H 0.997 0.750 0.665
C1 C 0.013 0.250 0.145
C2 C 0.250 0.047 0.592
C3 C 0.250 0.453 0.592
C4 C 0.487 0.250 0.145
C5 C 0.513 0.750 0.855
C6 C 0.750 0.547 0.408
C7 C 0.750 0.953 0.408
C8 C 0.987 0.750 0.855
S1 S 0.250 0.524 0.340
S2 S 0.250 0.976 0.340
S3 S 0.750 0.024 0.660
S4 S 0.750 0.476 0.660
N1 N 0.250 0.097 0.781
N2 N 0.250 0.403 0.781
N3 N 0.750 0.597 0.219
N4 N 0.750 0.903 0.219
```

(2)
Diffraction record for Ca2CdInO5. The XRD peak list is computed, not measured: it uses a cell relaxed with PBE and Cu Ka.
No peak broadening, texture or thermal motion is included.

The 10 most intense peaks (2θ from 15° to 90°), sorted by position:
2θ = 15.53°, I 100
2θ = 26.99°, I 38
2θ = 30.82°, I 92
2θ = 31.12°, I 49
2θ = 31.35°, I 32
2θ = 33.65°, I 80
2θ = 35.59°, I 65
2θ = 40.58°, I 31
2θ = 49.30°, I 36
2θ = 55.67°, I 37

```
data_Ca2CdInO5
_cell_length_a 6.877
_cell_length_b 6.877
_cell_length_c 11.415
_cell_angle_alpha 90.00
_cell_angle_beta 90.00
_cell_angle_gamma 150.67
_space_group_name_H-M_alt 'P 1'
_space_group_IT_number 1
loop_
_space_group_symop_operation_xyz
'x,y,z'
loop_
_atom_site_label
_atom_site_type_symbol
_atom_site_fract_x
_atom_site_fract_y
_atom_site_fract_z
Ca1 Ca 0.083 0.917 0.500
Ca2 Ca 0.151 0.849 0.085
Ca3 Ca 0.849 0.151 0.585
Ca4 Ca 0.917 0.083 0.000
Cd1 Cd 0.245 0.755 0.838
Cd2 Cd 0.755 0.245 0.338
In1 In 0.456 0.544 0.276
In2 In 0.544 0.456 0.776
O1 O 0.079 0.921 0.878
O2 O 0.258 0.742 0.493
O3 O 0.294 0.706 0.214
O4 O 0.404 0.596 0.867
O5 O 0.483 0.517 0.607
O6 O 0.517 0.483 0.107
O7 O 0.596 0.404 0.367
O8 O 0.706 0.294 0.714
O9 O 0.742 0.258 0.993
O10 O 0.921 0.079 0.378
```